Structure and calculated X-ray powder pattern of Na2CdAs2 (a structure optimized by DFT (GGA-PBE); Cu Kα, 1.54184 Å).
Intensities are scaled so that the largest is 1000.

Principal peaks in the range 2θ = 10–80°, low angle first:
(hkl)	2θ (°)	I_rel
2 0 -1	15.9	639
1 1 0	20.9	955
2 0 1	24.8	252
2 0 -3	25.6	422
3 1 -2	31.1	265
1 1 2	31.8	604
3 1 -3	34.3	885
0 2 0	38.1	686
3 1 1	39.0	1000
0 0 4	39.5	280
2 0 -5	43.3	393
5 1 -2	45.0	245

Atomic structure:
a = 11.175 Å, b = 4.721 Å, c = 10.567 Å
α = 90.00°, β = 120.17°, γ = 90.00°
Space group C2/m (No. 12)
Symmetry-distinct sites (fractional):
Na1 0.022 0.000 0.201 (multiplicity 4)
Na2 0.180 0.000 0.592 (multiplicity 4)
Cd1 0.210 0.500 0.857 (multiplicity 4)
As1 0.030 0.500 0.399 (multiplicity 4)
As2 0.132 0.500 0.071 (multiplicity 4)

Structure and calculated X-ray powder pattern of NaCdAsO4 (a structure optimized by DFT (GGA-PBE); Cu Kα, 1.54184 Å).
Intensities are scaled so that the largest is 1000.

Principal peaks in the range 2θ = 10–80°, low angle first:
(hkl)	2θ (°)	I_rel
0 1 1	16.8	156
1 0 1	17.6	226
0 0 2	20.0	211
1 1 2	28.3	315
2 0 0	29.2	330
1 2 1	32.5	1000
1 0 3	33.6	513
2 1 1	33.8	329
2 2 0	40.2	144
3 2 1	53.9	190
3 0 3	54.6	143
2 2 4	58.5	431

Atomic structure:
a = 6.122 Å, b = 6.585 Å, c = 8.892 Å
α = 90.00°, β = 90.00°, γ = 90.00°
Space group Imma (No. 74)
Symmetry-distinct sites (fractional):
Na1 0.250 0.250 0.250 (multiplicity 4)
Cd1 0.000 0.000 0.000 (multiplicity 4)
As1 0.000 0.250 0.631 (multiplicity 4)
O1 0.000 0.031 0.736 (multiplicity 8)
O2 0.229 0.250 0.512 (multiplicity 8)

Structure and calculated X-ray powder pattern of CdNi3As (a structure optimized by DFT (GGA-PBE); Cu Kα, 1.54184 Å).
Intensities are scaled so that the largest is 1000.

Principal peaks in the range 2θ = 10–80°, low angle first:
(hkl)	2θ (°)	I_rel
0 2 0	18.8	348
1 2 1	29.1	767
0 3 1	31.6	696
1 1 2	34.1	347
2 1 1	38.6	618
2 2 0	39.7	182
0 1 3	43.2	459
2 0 2	44.9	1000
0 4 2	47.7	814
2 4 0	52.4	839
1 4 3	61.0	195
2 3 3	63.5	324

Atomic structure:
a = 5.183 Å, b = 9.463 Å, c = 6.445 Å
α = 90.00°, β = 90.00°, γ = 90.00°
Space group Imma (No. 74)
Symmetry-distinct sites (fractional):
Cd1 0.000 0.250 0.083 (multiplicity 4)
Ni1 0.000 0.250 0.492 (multiplicity 4)
Ni2 0.250 0.116 0.750 (multiplicity 8)
As1 0.000 0.000 0.500 (multiplicity 4)

Structure and calculated X-ray powder pattern of Cd3As2O8 (a structure optimized by DFT (GGA-PBE); Cu Kα, 1.54184 Å).
Intensities are scaled so that the largest is 1000.

Principal peaks in the range 2θ = 10–80°, low angle first:
(hkl)	2θ (°)	I_rel
1 3 0	23.6	1000
1 0 -2	27.1	441
1 3 1	27.9	447
1 1 -2	28.1	464
3 0 0	28.5	285
2 2 1	28.7	882
0 4 0	28.9	724
3 1 -1	30.7	985
3 1 1	34.1	301
0 3 2	34.7	469
2 5 -2	48.3	374
4 4 -1	49.1	324

Atomic structure:
a = 9.476 Å, b = 12.342 Å, c = 6.730 Å
α = 90.00°, β = 98.17°, γ = 90.00°
Space group P2_1/c (No. 14)
Symmetry-distinct sites (fractional):
Cd1 0.055 0.116 0.154 (multiplicity 4)
Cd2 0.279 0.075 0.667 (multiplicity 4)
Cd3 0.358 0.693 0.627 (multiplicity 4)
As1 0.083 0.637 0.890 (multiplicity 4)
As2 0.395 0.086 0.188 (multiplicity 4)
O1 0.075 0.205 0.603 (multiplicity 4)
O2 0.079 0.566 0.668 (multiplicity 4)
O3 0.118 0.564 0.111 (multiplicity 4)
O4 0.217 0.731 0.874 (multiplicity 4)
O5 0.265 0.079 0.983 (multiplicity 4)
O6 0.293 0.130 0.365 (multiplicity 4)
O7 0.472 0.540 0.747 (multiplicity 4)
O8 0.475 0.680 0.341 (multiplicity 4)

Structure and calculated X-ray powder pattern of CdAsPdO5 (a structure optimized by DFT (GGA-PBE); Cu Kα, 1.54184 Å).
Intensities are scaled so that the largest is 1000.

Principal peaks in the range 2θ = 10–80°, low angle first:
(hkl)	2θ (°)	I_rel
1 1 -2	27.2	787
2 0 0	28.2	795
1 3 0	30.9	1000
0 2 2	33.5	435
2 2 -2	35.9	152
1 1 2	37.4	191
3 1 -2	41.7	220
0 4 2	46.8	190
2 4 -2	48.6	149
3 3 0	51.6	458
1 3 -4	60.7	175
4 0 -4	63.8	217

Atomic structure:
a = 6.920 Å, b = 9.767 Å, c = 7.000 Å
α = 90.00°, β = 113.79°, γ = 90.00°
Space group C2/c (No. 15)
Symmetry-distinct sites (fractional):
Cd1 0.000 0.183 0.250 (multiplicity 4)
As1 0.000 0.145 0.750 (multiplicity 4)
Pd1 0.000 0.500 0.000 (multiplicity 4)
O1 0.000 0.413 0.250 (multiplicity 4)
O2 0.095 0.246 0.606 (multiplicity 8)
O3 0.179 0.025 0.914 (multiplicity 8)

Structure and calculated X-ray powder pattern of PmCdAsO (a structure optimized by DFT (GGA-PBE); Cu Kα, 1.54184 Å).
Intensities are scaled so that the largest is 1000.

Principal peaks in the range 2θ = 10–80°, low angle first:
(hkl)	2θ (°)	I_rel
1 0 2	28.8	1000
1 1 1	31.7	685
1 1 2	36.0	487
1 0 3	36.1	376
2 0 0	43.2	555
0 0 5	49.2	136
1 1 4	50.0	365
2 1 2	52.8	445
2 1 3	57.6	195
2 2 0	62.8	177
2 0 5	67.5	209
3 1 2	74.6	148

Atomic structure:
a = 4.184 Å, b = 4.184 Å, c = 9.265 Å
α = 90.00°, β = 90.00°, γ = 90.00°
Space group P4/nmm (No. 129, origin choice 2)
Symmetry-distinct sites (fractional):
Pm1 0.250 0.250 0.118 (multiplicity 2)
Cd1 0.250 0.750 0.500 (multiplicity 2)
As1 0.250 0.250 0.699 (multiplicity 2)
O1 0.250 0.750 0.000 (multiplicity 2)

Structure and calculated X-ray powder pattern of CdAsRhO5 (a structure optimized by DFT (GGA-PBE); Cu Kα, 1.54184 Å).
Intensities are scaled so that the largest is 1000.

Principal peaks in the range 2θ = 10–80°, low angle first:
(hkl)	2θ (°)	I_rel
1 1 -2	26.5	1000
2 0 0	28.3	921
1 3 0	33.3	963
0 2 2	33.6	624
2 2 -2	36.2	247
1 1 2	36.7	212
3 1 -2	41.5	270
2 2 2	51.7	231
3 3 0	53.4	340
1 5 -2	57.5	190
1 3 -4	60.0	244
4 0 -4	62.3	208

Atomic structure:
a = 6.916 Å, b = 8.940 Å, c = 7.308 Å
α = 90.00°, β = 114.33°, γ = 90.00°
Space group C2/c (No. 15)
Symmetry-distinct sites (fractional):
Cd1 0.000 0.172 0.250 (multiplicity 4)
As1 0.000 0.177 0.750 (multiplicity 4)
Rh1 0.000 0.500 0.000 (multiplicity 4)
O1 0.000 0.412 0.250 (multiplicity 4)
O2 0.107 0.286 0.616 (multiplicity 8)
O3 0.181 0.050 0.918 (multiplicity 8)

Structure and calculated X-ray powder pattern of Cd2AsRuO6 (a structure optimized by DFT (GGA-PBE); Cu Kα, 1.54184 Å).
Intensities are scaled so that the largest is 1000.

Principal peaks in the range 2θ = 10–80°, low angle first:
(hkl)	2θ (°)	I_rel
0 0 1	18.6	106
1 1 1	30.1	1000
2 0 0	33.5	366
0 0 2	37.6	97
1 1 2	44.8	122
2 2 0	48.1	227
2 0 2	51.2	210
3 1 1	57.8	327
2 2 2	62.6	85
1 1 3	63.3	81
4 0 0	70.3	66
3 3 1	78.4	97

Atomic structure:
a = 5.356 Å, b = 5.356 Å, c = 4.783 Å
α = 90.00°, β = 90.00°, γ = 90.00°
Space group P4mm (No. 99)
Symmetry-distinct sites (fractional):
Cd1 0.000 0.500 0.000 (multiplicity 2)
As1 0.000 0.000 0.585 (multiplicity 1)
Ru1 0.500 0.500 0.578 (multiplicity 1)
O1 0.000 0.000 0.220 (multiplicity 1)
O2 0.248 0.248 0.704 (multiplicity 4)
O3 0.500 0.500 0.193 (multiplicity 1)

Structure and calculated X-ray powder pattern of Cd2AsSeO3 (a structure optimized by DFT (GGA-PBE); Cu Kα, 1.54184 Å).
Intensities are scaled so that the largest is 1000.

Principal peaks in the range 2θ = 10–80°, low angle first:
(hkl)	2θ (°)	I_rel
1 1 0	25.9	583
0 1 5	28.7	719
1 1 3	29.9	939
0 2 1	30.5	612
2 0 2	31.6	270
0 2 4	36.0	1000
1 0 7	37.7	314
1 1 6	39.6	279
1 2 5	47.5	260
3 0 3	48.3	247
2 0 8	50.4	620
2 2 0	53.4	661

Atomic structure:
a = 6.8676 Å, b = 6.8676 Å, c = 18.2567 Å
α = 90.00°, β = 90.00°, γ = 120.00°
Space group R-3m (No. 166, hexagonal axes)
Symmetry-distinct sites (fractional):
Cd1 0.0000 0.0000 0.0000 (multiplicity 3)
Cd2 0.0000 0.5000 0.5000 (multiplicity 9)
As1 0.0000 0.0000 0.3984 (multiplicity 6)
Se1 0.0000 0.0000 0.2576 (multiplicity 6)
O1 0.0450 0.5225 0.2454 (multiplicity 18)

Structure and calculated X-ray powder pattern of SrCdAs2O7 (a structure optimized by DFT (GGA-PBE); Cu Kα, 1.54184 Å).
Intensities are scaled so that the largest is 1000.

Principal peaks in the range 2θ = 10–80°, low angle first:
(hkl)	2θ (°)	I_rel
0 2 0	25.2	845
1 0 -2	28.0	520
1 -2 1	28.1	359
1 0 2	28.8	1000
1 1 -2	29.7	389
2 0 0	30.7	577
2 -1 0	31.4	396
-1 1 2	31.8	566
1 -2 2	33.5	257
1 2 2	43.2	250
0 0 4	48.7	193
1 -4 1	50.8	215

Atomic structure:
a = 5.894 Å, b = 7.287 Å, c = 7.622 Å
α = 101.21°, β = 90.02°, γ = 98.55°
Space group P-1 (No. 2)
Symmetry-distinct sites (fractional):
Sr1 0.184 0.274 0.436 (multiplicity 2)
Cd1 0.185 0.168 0.900 (multiplicity 2)
As1 0.294 0.669 0.885 (multiplicity 2)
As2 0.314 0.776 0.320 (multiplicity 2)
O1 0.090 0.816 0.875 (multiplicity 2)
O2 0.105 0.917 0.322 (multiplicity 2)
O3 0.217 0.446 0.767 (multiplicity 2)
O4 0.256 0.633 0.470 (multiplicity 2)
O5 0.286 0.617 0.106 (multiplicity 2)
O6 0.411 0.108 0.658 (multiplicity 2)
O7 0.434 0.225 0.143 (multiplicity 2)